[1]
Calculated powder diffractogram of Pm3ErRu for λ = 1.5418 Å (Cu Kα), from DFT lattice parameters and positions (GGA-PBE).
Peak positions follow from Bragg's law for the DFT cell and can differ from measured ones.

The 6 most intense peaks (2θ from 10° to 80°), in order of falling intensity:
h k l, d/Å, two_theta, intensity
0 2 2, 2.845, 31.44, 100
2 0 2, 3.202, 27.86, 61
2 2 0, 2.942, 30.38, 46
4 2 2, 1.818, 50.18, 35
3 1 0, 2.906, 30.77, 27
0 0 4, 2.177, 41.48, 24

Structure:
```
data_Pm3ErRu
_chemical_formula_sum 'Pm12 Er4 Ru4'
_cell_length_a 9.452
_cell_length_b 7.519
_cell_length_c 8.708
_cell_angle_alpha 90.00
_cell_angle_beta 90.00
_cell_angle_gamma 90.00
_space_group_name_H-M_alt 'I m a 2'
_space_group_IT_number 46
_space_group_name_Hall 'I 2 -2a'
loop_
_atom_site_label
_atom_site_fract_x
_atom_site_fract_y
_atom_site_fract_z
_atom_site_occupancy
Pm1 0.040 0.248 0.000 1
Pm2 0.250 0.520 0.247 1
Er1 0.250 0.527 0.753 1
Ru1 0.250 0.744 0.500 1
```

=====

[2]
Calculated powder diffractogram of Pm4ErRu for λ = 1.5418 Å (Cu Kα), from DFT lattice parameters and positions (GGA-PBE).
Peak positions follow from Bragg's law for the DFT cell and can differ from measured ones.

The 6 most intense peaks (2θ from 10° to 80°), in order of falling intensity:
h k l, d/Å, two_theta, intensity
4 2 -1, 2.753, 32.53, 100
4 0 1, 2.868, 31.18, 65
0 2 2, 2.268, 39.74, 39
2 0 -2, 3.037, 29.41, 37
6 2 2, 1.541, 60.03, 25
0 2 3, 1.693, 54.17, 20

Structure:
```
data_Pm4ErRu
_chemical_formula_sum 'Pm16 Er4 Ru4'
_cell_length_a 17.364
_cell_length_b 7.510
_cell_length_c 6.074
_cell_angle_alpha 90.00
_cell_angle_beta 110.44
_cell_angle_gamma 90.00
_space_group_name_H-M_alt 'C 1 2/m 1'
_space_group_IT_number 12
_space_group_name_Hall '-C 2y'
loop_
_atom_site_label
_atom_site_fract_x
_atom_site_fract_y
_atom_site_fract_z
_atom_site_occupancy
Pm1 0.000 0.207 0.000 1
Pm2 0.116 0.250 0.616 1
Pm3 0.173 0.500 0.173 1
Er1 0.199 0.000 0.199 1
Ru1 0.000 0.500 0.261 1
```

=====

[3]
Calculated powder diffractogram of PmEr3Ru8 for λ = 1.5418 Å (Cu Kα), from DFT lattice parameters and positions (GGA-PBE).
Peak positions follow from Bragg's law for the DFT cell and can differ from measured ones.

The 6 most intense peaks (2θ from 10° to 80°), in order of falling intensity:
h k l, d/Å, two_theta, intensity
2 0 2, 2.273, 39.65, 100
1 0 10, 2.282, 39.48, 34
0 1 8, 2.675, 33.50, 29
1 1 0, 2.662, 33.67, 29
0 2 4, 2.175, 41.52, 27
0 2 16, 1.337, 70.40, 17

Structure:
```
data_PmEr3Ru8
_chemical_formula_sum 'Pm3 Er9 Ru24'
_cell_length_a 5.3238
_cell_length_b 5.3238
_cell_length_c 26.2695
_cell_angle_alpha 90.00
_cell_angle_beta 90.00
_cell_angle_gamma 120.00
_space_group_name_H-M_alt 'R 3 m'
_space_group_IT_number 160
_space_group_name_Hall 'R 3 -2"'
loop_
_atom_site_label
_atom_site_fract_x
_atom_site_fract_y
_atom_site_fract_z
_atom_site_occupancy
Pm1 0.0000 0.0000 0.0000 1
Er1 0.0000 0.0000 0.3752 1
Er2 0.0000 0.0000 0.4995 1
Er3 0.0000 0.0000 0.8747 1
Ru1 0.0000 0.0000 0.1870 1
Ru2 0.0000 0.0000 0.6873 1
Ru3 0.0032 0.5016 0.4385 1
Ru4 0.1676 0.3352 0.2693 1
```

=====

[4]
Calculated powder diffractogram of Pm3Er5S8 for λ = 1.5418 Å (Cu Kα), from DFT lattice parameters and positions (GGA-PBE).
Peak positions follow from Bragg's law for the DFT cell and can differ from measured ones.

The 6 most intense peaks (2θ from 10° to 80°), in order of falling intensity:
h k l, d/Å, two_theta, intensity
0 2 4, 2.779, 32.22, 100
2 0 2, 3.199, 27.89, 61
2 0 8, 1.974, 45.98, 36
2 2 0, 1.956, 46.42, 36
0 0 6, 3.238, 27.55, 21
2 2 6, 1.674, 54.83, 20

Structure:
```
data_Pm3Er5S8
_chemical_formula_sum 'Pm9 Er15 S24'
_cell_length_a 7.8244
_cell_length_b 7.8244
_cell_length_c 19.4256
_cell_angle_alpha 90.00
_cell_angle_beta 90.00
_cell_angle_gamma 120.00
_space_group_name_H-M_alt 'R -3 m'
_space_group_IT_number 166
_space_group_name_Hall '-R 3 2"'
loop_
_atom_site_label
_atom_site_fract_x
_atom_site_fract_y
_atom_site_fract_z
_atom_site_occupancy
Pm1 0.0000 0.5000 0.0000 1
Er1 0.0000 0.0000 0.0000 1
Er2 0.0000 0.0000 0.5000 1
Er3 0.0000 0.5000 0.5000 1
S1 0.0000 0.0000 0.2444 1
S2 0.0071 0.5036 0.7538 1
```